Record 1
Tb2CePr3Y6: computed PXRD pattern (Cu Kα), based on a structure optimized by DFT (GGA-PBE).
Peak positions follow from Bragg's law for the DFT cell and can differ from measured ones.

Peak list (10 most intense, 10° ≤ 2θ ≤ 90°, sorted by position)
Position (°2θ)	I/Imax	hkl
30.32	100	1 3 1
30.57	33	0 0 4
35.23	67	2 0 2
50.50	24	0 6 0
50.84	23	1 3 5
60.05	14	4 0 0
60.20	28	3 3 3
60.49	14	2 0 6
63.07	12	2 6 2
82.23	11	4 6 0

Crystal structure
```
data_Tb2CePr3Y6
_chemical_formula_sum 'Tb4 Ce2 Pr6 Y12'
_space_group_name_H-M_alt 'C 1 2/m 1'
_space_group_IT_number 12
_space_group_name_Hall '-C 2y'
_cell_length_a 6.2606
_cell_length_b 10.8416
_cell_length_c 11.8808
_cell_angle_alpha 90.00
_cell_angle_beta 100.10
_cell_angle_gamma 90.00
loop_
_atom_site_label
_atom_site_fract_x
_atom_site_fract_y
_atom_site_fract_z
Tb1 0.0000 0.1667 0.0000
Ce1 0.0000 0.5000 0.0000
Pr1 0.0000 0.0000 0.5000
Pr2 0.0000 0.3324 0.5000
Y1 0.2475 0.3345 0.2460
Y2 0.2493 0.5000 0.7539
```

Record 2
MnNb2Tc: computed PXRD pattern (Cu Kα), based on a structure optimized by DFT (GGA-PBE).
Peak positions follow from Bragg's law for the DFT cell and can differ from measured ones.

Peak list (10 most intense, 10° ≤ 2θ ≤ 90°, sorted by position)
Position (°2θ)	I/Imax	hkl
28.89	1	0 0 1
30.17	1	6 0 0
32.26	2	5 1 0
36.49	1	3 1 -1
40.63	100	0 2 0
58.82	16	2 0 -2
73.92	23	3 3 1
73.99	8	2 2 -2
87.92	7	0 4 0
88.04	3	10 2 -2

Crystal structure
```
data_MnNb2Tc
_chemical_formula_sum 'Mn4 Nb8 Tc4'
_space_group_name_H-M_alt 'C 1 2/m 1'
_space_group_IT_number 12
_space_group_name_Hall '-C 2y'
_cell_length_a 18.0426
_cell_length_b 4.4412
_cell_length_c 3.1381
_cell_angle_alpha 90.00
_cell_angle_beta 99.93
_cell_angle_gamma 90.00
loop_
_atom_site_label
_atom_site_fract_x
_atom_site_fract_y
_atom_site_fract_z
Mn1 0.1887 0.0000 0.4386
Nb1 0.0680 0.0000 0.8182
Nb2 0.1918 0.5000 0.9416
Tc1 0.0641 0.5000 0.3138
```

Record 3
Li2FeN: computed PXRD pattern (Cu Kα), based on a structure optimized by DFT (GGA-PBE).
Peak positions follow from Bragg's law for the DFT cell and can differ from measured ones.

Peak list (10 most intense, 10° ≤ 2θ ≤ 90°, sorted by position)
Position (°2θ)	I/Imax	hkl
23.87	12	0 0 1
28.15	100	1 0 0
37.24	51	1 0 1
48.87	10	0 0 2
49.83	27	1 1 0
57.35	21	1 0 2
58.21	10	2 0 0
63.82	10	2 0 1
72.37	15	1 1 2
85.05	9	2 1 1

Crystal structure
```
data_Li2FeN
_chemical_formula_sum 'Li2 Fe1 N1'
_space_group_name_H-M_alt 'P 6/m m m'
_space_group_IT_number 191
_space_group_name_Hall '-P 6 2'
_cell_length_a 3.6601
_cell_length_b 3.6601
_cell_length_c 3.7274
_cell_angle_alpha 90.00
_cell_angle_beta 90.00
_cell_angle_gamma 120.00
loop_
_atom_site_label
_atom_site_fract_x
_atom_site_fract_y
_atom_site_fract_z
Li1 0.3333 0.6667 0.0000
Fe1 0.0000 0.0000 0.5000
N1 0.0000 0.0000 0.0000
```

Record 4
ZnRePd: computed PXRD pattern (Cu Kα), based on a structure optimized by DFT (GGA-PBE).
Peak positions follow from Bragg's law for the DFT cell and can differ from measured ones.

Peak list (10 most intense, 10° ≤ 2θ ≤ 90°, sorted by position)
Position (°2θ)	I/Imax	hkl
13.16	28	0 0 1
39.57	53	4 0 -2
40.02	48	2 0 2
40.57	100	1 1 -2
45.20	72	3 1 0
49.72	26	2 0 -4
69.14	19	5 1 -4
69.75	16	1 1 4
80.64	13	4 2 -2
86.96	13	3 1 -6

Crystal structure
```
data_ZnRePd
_chemical_formula_sum 'Zn4 Re4 Pd4'
_space_group_name_H-M_alt 'C 1 m 1'
_space_group_IT_number 8
_space_group_name_Hall 'C -2y'
_cell_length_a 9.4241
_cell_length_b 2.7960
_cell_length_c 7.3353
_cell_angle_alpha 90.00
_cell_angle_beta 113.53
_cell_angle_gamma 90.00
loop_
_atom_site_label
_atom_site_fract_x
_atom_site_fract_y
_atom_site_fract_z
Zn1 0.0000 0.0000 0.0000
Zn2 0.1428 0.5000 0.8119
Re1 0.3244 0.0000 0.1510
Re2 0.4662 0.5000 0.4675
Pd1 0.1540 0.5000 0.3298
Pd2 0.3244 0.0000 0.6825
```